[1]
For Th2Zn3Pt5, a GGA-PBE-relaxed structure gives the calculated powder diffractogram in this record (λ = 1.5418 Å (Cu Kα)).

Most intense lines, 2θ = 10–90°, low angle first:
two_theta  I (rel.)  index
26.81  14  1 3 1
34.93  60  1 3 2
35.11  100  1 7 1
37.82  75  1 5 2
38.50  13  1 9 0
39.24  22  0 2 3
41.23  15  0 4 3
42.76  43  2 0 0
44.97  16  0 12 1
59.43  13  2 2 3

Crystal structure
```
data_Th2Zn3Pt5
_chemical_formula_sum 'Th8 Zn12 Pt20'
_symmetry_space_group_name_H-M 'C m c 21'
_symmetry_Int_Tables_number 36
_symmetry_space_group_name_Hall 'C 2c -2'
_cell_length_a 4.2293
_cell_length_b 25.2554
_cell_length_c 7.0037
_cell_angle_alpha 90.00
_cell_angle_beta 90.00
_cell_angle_gamma 90.00
loop_
_atom_site_label
_atom_site_type_symbol
_atom_site_fract_x
_atom_site_fract_y
_atom_site_fract_z
Th1 Th 0.0000 0.0272 0.0000
Th2 Th 0.0000 0.3208 0.0722
Zn1 Zn 0.0000 0.1289 0.2372
Zn2 Zn 0.0000 0.2892 0.6211
Zn3 Zn 0.0000 0.4545 0.1821
Pt1 Pt 0.0000 0.0991 0.6362
Pt2 Pt 0.0000 0.1935 0.8842
Pt3 Pt 0.0000 0.2281 0.3238
Pt4 Pt 0.0000 0.3854 0.4654
Pt5 Pt 0.0000 0.4474 0.8095
```

---

[2]
For Ti2Pt5, a GGA-PBE-relaxed structure gives the calculated powder diffractogram in this record (λ = 1.5418 Å (Cu Kα)).

Most intense lines, 2θ = 10–90°, low angle first:
two_theta  I (rel.)  index
11.70  33  0 4 0
35.82  89  1 5 1
41.79  33  0 14 0
42.42  100  1 9 1
46.15  28  2 0 0
47.11  27  0 0 2
64.00  19  2 14 0
68.06  23  2 0 2
80.98  20  1 23 1
83.17  18  2 14 2

Crystal structure
```
data_Ti2Pt5
_chemical_formula_sum 'Ti8 Pt20'
_symmetry_space_group_name_H-M 'C m c m'
_symmetry_Int_Tables_number 63
_symmetry_space_group_name_Hall '-C 2c 2'
_cell_length_a 3.9337
_cell_length_b 30.2626
_cell_length_c 3.8582
_cell_angle_alpha 90.00
_cell_angle_beta 90.00
_cell_angle_gamma 90.00
loop_
_atom_site_label
_atom_site_type_symbol
_atom_site_fract_x
_atom_site_fract_y
_atom_site_fract_z
Ti1 Ti 0.0000 0.1028 0.2500
Ti2 Ti 0.0000 0.3203 0.2500
Pt1 Pt 0.0000 0.0363 0.7500
Pt2 Pt 0.0000 0.1846 0.2500
Pt3 Pt 0.0000 0.2508 0.7500
Pt4 Pt 0.0000 0.4006 0.2500
Pt5 Pt 0.0000 0.4658 0.7500
```

---

[3]
For Ti3Pt4, a GGA-PBE-relaxed structure gives the calculated powder diffractogram in this record (λ = 1.5418 Å (Cu Kα)).

Most intense lines, 2θ = 10–90°, low angle first:
two_theta  I (rel.)  index
25.86  15  3 0 0
28.13  66  3 -1 1
39.97  100  4 1 0
40.43  100  1 2 2
41.55  13  5 -2 1
46.02  14  4 -1 2
49.59  13  2 4 1
58.16  28  6 -2 2
72.59  12  3 6 0
72.91  23  0 7 2

Crystal structure
```
data_Ti3Pt4
_chemical_formula_sum 'Ti18 Pt24'
_symmetry_space_group_name_H-M 'R -3'
_symmetry_Int_Tables_number 148
_symmetry_space_group_name_Hall '-R 3'
_cell_length_a 11.9360
_cell_length_b 11.9360
_cell_length_c 5.4349
_cell_angle_alpha 90.00
_cell_angle_beta 90.00
_cell_angle_gamma 120.00
loop_
_atom_site_label
_atom_site_type_symbol
_atom_site_fract_x
_atom_site_fract_y
_atom_site_fract_z
Ti1 Ti 0.0460 0.8245 0.2147
Pt1 Pt 0.0000 0.0000 0.0000
Pt2 Pt 0.0000 0.0000 0.5000
Pt3 Pt 0.0533 0.7887 0.6990
```

---

[4]
For Ti4Pt, a GGA-PBE-relaxed structure gives the calculated powder diffractogram in this record (λ = 1.5418 Å (Cu Kα)).

Most intense lines, 2θ = 10–90°, low angle first:
two_theta  I (rel.)  index
17.99  84  1 0 1
23.23  100  2 0 0
29.54  41  2 1 1
32.32  59  1 1 2
36.43  34  2 0 2
37.91  62  3 0 1
43.75  29  1 0 3
44.94  68  3 2 1
46.93  52  3 1 2
62.31  27  4 3 1

Crystal structure
```
data_Ti4Pt
_chemical_formula_sum 'Ti16 Pt4'
_symmetry_space_group_name_H-M 'I 41/a m d'
_symmetry_Int_Tables_number 141
_cell_length_a 7.6576
_cell_length_b 7.6576
_cell_length_c 6.4473
_cell_angle_alpha 90.00
_cell_angle_beta 90.00
_cell_angle_gamma 90.00
loop_
_symmetry_equiv_pos_as_xyz
'x,y,z'
'-x,-y,-z'
'-y+1/4,x+3/4,z+1/4'
'y+1/4,-x+3/4,-z+1/4'
'-x+1/2,-y,z+1/2'
'x+1/2,y,-z+1/2'
'y+1/4,-x+1/4,z+3/4'
'-y+1/4,x+1/4,-z+3/4'
'x,-y,-z'
'-x,y,z'
'-y+1/4,-x+1/4,-z+3/4'
'y+1/4,x+1/4,z+3/4'
'-x+1/2,y,-z+1/2'
'x+1/2,-y,z+1/2'
'y+1/4,x+3/4,-z+1/4'
'-y+1/4,-x+3/4,z+1/4'
'x+1/2,y+1/2,z+1/2'
'-x+1/2,-y+1/2,-z+1/2'
'-y+3/4,x+1/4,z+3/4'
'y+3/4,-x+1/4,-z+3/4'
'-x,-y+1/2,z'
'x,y+1/2,-z'
'y+3/4,-x+3/4,z+1/4'
'-y+3/4,x+3/4,-z+1/4'
'x+1/2,-y+1/2,-z+1/2'
'-x+1/2,y+1/2,z+1/2'
'-y+3/4,-x+3/4,-z+1/4'
'y+3/4,x+3/4,z+1/4'
'-x,y+1/2,-z'
'x,-y+1/2,z'
'y+3/4,x+1/4,-z+3/4'
'-y+3/4,-x+1/4,z+3/4'
loop_
_atom_site_label
_atom_site_type_symbol
_atom_site_fract_x
_atom_site_fract_y
_atom_site_fract_z
Ti1 Ti 0.0000 0.0609 0.2377
Pt1 Pt 0.0000 0.2500 0.8750
```

---

[5]
For Ti3Pt5, a GGA-PBE-relaxed structure gives the calculated powder diffractogram in this record (λ = 1.5418 Å (Cu Kα)).

Most intense lines, 2θ = 10–90°, low angle first:
two_theta  I (rel.)  index
25.29  41  1 2 1
28.23  15  1 1 2
39.23  98  0 4 2
39.44  100  2 0 2
43.84  41  0 0 4
46.66  55  2 4 0
65.95  39  2 4 4
77.60  14  2 0 6
81.39  15  2 8 2
81.80  16  4 4 2

Crystal structure
```
data_Ti3Pt5
_chemical_formula_sum 'Ti12 Pt20'
_symmetry_space_group_name_H-M 'I b a m'
_symmetry_Int_Tables_number 72
_symmetry_space_group_name_Hall '-I 2 2c'
_cell_length_a 5.4856
_cell_length_b 11.0537
_cell_length_c 8.2599
_cell_angle_alpha 90.00
_cell_angle_beta 90.00
_cell_angle_gamma 90.00
loop_
_atom_site_label
_atom_site_type_symbol
_atom_site_fract_x
_atom_site_fract_y
_atom_site_fract_z
Ti1 Ti 0.0000 0.0000 0.2500
Ti2 Ti 0.2096 0.3551 0.0000
Pt1 Pt 0.0000 0.2432 0.2500
Pt2 Pt 0.0000 0.5000 0.2500
Pt3 Pt 0.2124 0.1037 0.0000
```

---

[6]
For TiVPt14, a GGA-PBE-relaxed structure gives the calculated powder diffractogram in this record (λ = 1.5418 Å (Cu Kα)).

Most intense lines, 2θ = 10–90°, low angle first:
two_theta  I (rel.)  index
25.19  3  1 1 1
34.01  3  2 0 1
39.53  100  2 0 2
45.86  33  2 2 0
46.20  16  0 0 4
66.87  11  4 0 0
67.14  21  2 2 4
80.55  26  4 2 2
81.06  12  2 0 6
85.12  11  4 0 4

Crystal structure
```
data_TiVPt14
_chemical_formula_sum 'Ti1 V1 Pt14'
_symmetry_space_group_name_H-M 'P 4/m m m'
_symmetry_Int_Tables_number 123
_symmetry_space_group_name_Hall '-P 4 2'
_cell_length_a 5.5969
_cell_length_b 5.5969
_cell_length_c 7.8594
_cell_angle_alpha 90.00
_cell_angle_beta 90.00
_cell_angle_gamma 90.00
loop_
_atom_site_label
_atom_site_type_symbol
_atom_site_fract_x
_atom_site_fract_y
_atom_site_fract_z
Ti1 Ti 0.0000 0.0000 0.0000
V1 V 0.5000 0.5000 0.0000
Pt1 Pt 0.0000 0.0000 0.5000
Pt2 Pt 0.0000 0.5000 0.0000
Pt3 Pt 0.0000 0.5000 0.5000
Pt4 Pt 0.2510 0.2510 0.2404
Pt5 Pt 0.5000 0.5000 0.5000
```

---

[7]
For YTi2Pt9, a GGA-PBE-relaxed structure gives the calculated powder diffractogram in this record (λ = 1.5418 Å (Cu Kα)).

Most intense lines, 2θ = 10–90°, low angle first:
two_theta  I (rel.)  index
22.17  12  1 0 0
31.56  11  1 1 0
38.91  100  1 1 3
45.23  49  2 0 0
50.93  6  2 1 0
56.20  4  2 1 3
65.89  31  2 2 0
70.46  3  3 0 0
79.25  36  3 1 3
83.53  10  2 2 6

Crystal structure
```
data_YTi2Pt9
_chemical_formula_sum 'Y1 Ti2 Pt9'
_symmetry_space_group_name_H-M 'P 4/m m m'
_symmetry_Int_Tables_number 123
_symmetry_space_group_name_Hall '-P 4 2'
_cell_length_a 4.0087
_cell_length_b 4.0087
_cell_length_c 12.0318
_cell_angle_alpha 90.00
_cell_angle_beta 90.00
_cell_angle_gamma 90.00
loop_
_atom_site_label
_atom_site_type_symbol
_atom_site_fract_x
_atom_site_fract_y
_atom_site_fract_z
Y1 Y 0.0000 0.0000 0.0000
Ti1 Ti 0.0000 0.0000 0.3356
Pt1 Pt 0.0000 0.5000 0.1808
Pt2 Pt 0.0000 0.5000 0.5000
Pt3 Pt 0.5000 0.5000 0.0000
Pt4 Pt 0.5000 0.5000 0.3399
```

---

[8]
For YTi2Pt2, a GGA-PBE-relaxed structure gives the calculated powder diffractogram in this record (λ = 1.5418 Å (Cu Kα)).

Most intense lines, 2θ = 10–90°, low angle first:
two_theta  I (rel.)  index
22.10  67  1 0 1
29.05  76  1 1 0
32.66  100  1 0 3
33.71  26  1 1 2
41.55  65  2 0 0
45.17  48  1 1 4
47.73  37  1 0 5
53.82  49  2 1 3
60.22  22  2 2 0
65.10  30  2 1 5

Crystal structure
```
data_YTi2Pt2
_chemical_formula_sum 'Y2 Ti4 Pt4'
_symmetry_space_group_name_H-M 'I 4/m m m'
_symmetry_Int_Tables_number 139
_symmetry_space_group_name_Hall '-I 4 2'
_cell_length_a 4.3467
_cell_length_b 4.3467
_cell_length_c 10.6014
_cell_angle_alpha 90.00
_cell_angle_beta 90.00
_cell_angle_gamma 90.00
loop_
_atom_site_label
_atom_site_type_symbol
_atom_site_fract_x
_atom_site_fract_y
_atom_site_fract_z
Y1 Y 0.0000 0.0000 0.0000
Ti1 Ti 0.0000 0.5000 0.2500
Pt1 Pt 0.0000 0.0000 0.3759
```

---

Please write out number 1 again, unchanged.
For Th2Zn3Pt5, a GGA-PBE-relaxed structure gives the calculated powder diffractogram in this record (λ = 1.5418 Å (Cu Kα)).

Most intense lines, 2θ = 10–90°, low angle first:
two_theta  I (rel.)  index
26.81  14  1 3 1
34.93  60  1 3 2
35.11  100  1 7 1
37.82  75  1 5 2
38.50  13  1 9 0
39.24  22  0 2 3
41.23  15  0 4 3
42.76  43  2 0 0
44.97  16  0 12 1
59.43  13  2 2 3

Crystal structure
```
data_Th2Zn3Pt5
_chemical_formula_sum 'Th8 Zn12 Pt20'
_symmetry_space_group_name_H-M 'C m c 21'
_symmetry_Int_Tables_number 36
_symmetry_space_group_name_Hall 'C 2c -2'
_cell_length_a 4.2293
_cell_length_b 25.2554
_cell_length_c 7.0037
_cell_angle_alpha 90.00
_cell_angle_beta 90.00
_cell_angle_gamma 90.00
loop_
_atom_site_label
_atom_site_type_symbol
_atom_site_fract_x
_atom_site_fract_y
_atom_site_fract_z
Th1 Th 0.0000 0.0272 0.0000
Th2 Th 0.0000 0.3208 0.0722
Zn1 Zn 0.0000 0.1289 0.2372
Zn2 Zn 0.0000 0.2892 0.6211
Zn3 Zn 0.0000 0.4545 0.1821
Pt1 Pt 0.0000 0.0991 0.6362
Pt2 Pt 0.0000 0.1935 0.8842
Pt3 Pt 0.0000 0.2281 0.3238
Pt4 Pt 0.0000 0.3854 0.4654
Pt5 Pt 0.0000 0.4474 0.8095
```

---

Question: Which formula does entry 4 have?
Answer: Ti4Pt